Pr8Y2Ho3: simulated X-ray powder pattern (CuKα), based on a GGA-PBE-relaxed structure.

Top 10 peaks for 2θ from 10° to 90°, low angle first:
index	2θ (°)	d (Å)	Rel. int.
0 2 0	24.51	3.632	19
1 1 2	29.00	3.079	51
1 0 -3	30.28	2.952	33
2 0 0	30.95	2.890	46
1 2 -3	32.79	2.732	100
0 0 4	34.85	2.575	13
0 3 -1	34.95	2.567	12
2 0 4	47.34	1.920	17
3 2 -3	56.22	1.636	21
1 5 0	66.35	1.409	13

Structural model:
a b c (Å): 5.7792 7.7622 11.0065
angles (deg): 110.63 90.02 90.00
Positions (direct):
Pr 0.9998 0.0992 0.2900
Pr 0.0002 0.3092 0.7100
Pr 0.9998 0.6908 0.2900
Pr 0.0002 0.9008 0.7100
Pr 0.4994 0.6303 0.7603
Pr 0.4991 0.8269 0.1544
Pr 0.5009 0.1731 0.8456
Pr 0.5006 0.3697 0.2397
Y 0.0012 0.2610 0.0209
Y 0.9988 0.7390 0.9791
Ho 0.0000 0.5000 0.5000
Ho 0.5000 0.2151 0.5000
Ho 0.5000 0.7849 0.5000